1.
Structure and computed powder diffractogram of ReTe8 (a PBE-relaxed structure; Cu Kα).

Structural model:
```
ReTe8
1.0
8.989 0.000 0.000
-4.495 7.785 0.000
0.000 0.000 3.777
Re Te
1 8
Cartesian
0.000 0.000 0.000 Re
-0.971 1.682 1.888 Te
-2.399 4.155 0.000 Te
1.942 0.000 1.888 Te
0.000 5.190 1.888 Te
2.096 3.630 0.000 Te
4.798 0.000 0.000 Te
4.495 2.595 1.888 Te
3.523 6.103 1.888 Te
```

Top 10 peaks for 15° ≤ 2θ ≤ 90°, by angle:
2theta  Rel. int.
19.75  21
22.85  21
30.38  39
30.93  22
33.05  100
38.80  36
40.12  20
48.19  14
53.97  18
68.44  17

2.
Structure and computed powder diffractogram of Re3Te4 (a PBE-relaxed structure; Cu Kα).

Structural model:
```
Re3Te4
1.0
6.691 -1.948 0.000
6.691 1.948 0.000
-3.014 0.000 5.875
Re Te
3 4
Cartesian
0.000 0.000 0.000 Re
2.507 0.000 1.852 Re
7.860 0.000 4.023 Re
0.003 0.000 2.655 Te
4.741 0.000 0.074 Te
5.626 0.000 5.801 Te
10.364 0.000 3.220 Te
```

Top 10 peaks for 15° ≤ 2θ ≤ 90°, by angle:
2theta  Rel. int.
15.62  39
30.31  100
31.55  48
32.20  41
36.72  39
40.07  81
40.96  98
41.88  39
46.63  56
47.48  67

3.
Structure and computed powder diffractogram of ReTe4W (a PBE-relaxed structure; Cu Kα).

Structural model:
```
ReTe4W
1.0
6.920 0.000 0.000
3.458 6.339 0.000
1.738 1.676 7.405
Re Te W
2 8 2
Cartesian
1.739 2.021 3.637 Re
10.377 5.994 3.769 Re
5.168 6.704 5.729 Te
3.448 3.579 5.161 Te
5.174 4.459 2.202 Te
3.445 1.316 1.646 Te
8.671 6.699 5.759 Te
6.943 3.556 5.204 Te
8.668 4.436 2.244 Te
6.948 1.311 1.677 Te
6.924 6.010 3.777 W
5.192 2.005 3.629 W
```

Top 10 peaks for 15° ≤ 2θ ≤ 90°, by angle:
2theta  Rel. int.
28.88  12
29.55  17
33.07  100
33.80  40
40.32  29
41.47  16
45.13  36
50.76  18
52.92  16
64.28  12

4.
Structure and computed powder diffractogram of TlRe (a PBE-relaxed structure; Cu Kα).

Structural model:
```
TlRe
1.0
3.040 0.000 0.000
-1.520 2.633 0.000
0.000 0.000 4.601
Tl Re
1 1
Cartesian
0.000 0.000 0.000 Tl
0.000 1.755 2.301 Re
```

Top 10 peaks for 15° ≤ 2θ ≤ 90°, by angle:
2theta  Rel. int.
34.05  25
39.16  23
39.43  100
52.85  15
60.95  19
71.14  18
71.69  3
74.87  21
75.05  16
84.86  4

5.
Structure and computed powder diffractogram of Re28W (a PBE-relaxed structure; Cu Kα).

Structural model:
```
Re28W
1.0
-4.790 4.790 4.790
4.790 -4.790 4.790
4.790 4.790 -4.790
Re W
28 1
Cartesian
3.082 3.082 -3.082 Re
2.721 0.868 -0.868 Re
2.721 -0.868 0.868 Re
5.200 1.359 -1.359 Re
3.082 -3.082 3.082 Re
5.200 -1.359 1.359 Re
6.859 0.868 0.868 Re
0.868 2.721 -0.868 Re
0.868 -0.868 2.721 Re
4.381 1.359 1.359 Re
3.431 3.431 -0.410 Re
3.431 -0.410 3.431 Re
1.709 1.709 1.709 Re
-0.868 2.721 0.868 Re
-0.868 0.868 2.721 Re
1.359 5.200 -1.359 Re
1.359 -1.359 5.200 Re
1.359 4.381 1.359 Re
1.359 1.359 4.381 Re
3.922 3.922 2.069 Re
3.922 2.069 3.922 Re
-3.082 3.082 3.082 Re
-1.359 5.200 1.359 Re
-1.359 1.359 5.200 Re
-0.410 3.431 3.431 Re
0.868 6.859 0.868 Re
0.868 0.868 6.859 Re
2.069 3.922 3.922 Re
0.000 0.000 0.000 W
```

Top 10 peaks for 15° ≤ 2θ ≤ 90°, by angle:
2theta  Rel. int.
37.55  7
39.92  100
44.35  27
46.43  10
48.45  17
67.77  5
69.36  9
72.50  26
74.05  6
86.12  9

6.
Structure and computed powder diffractogram of Re5W (a PBE-relaxed structure; Cu Kα).

Structural model:
```
Re5W
1.0
5.096 0.000 0.000
-2.548 4.414 0.000
0.000 0.000 16.636
Re W
20 4
Cartesian
-1.274 2.207 0.000 Re
-1.274 2.207 8.318 Re
0.000 1.410 4.159 Re
-1.327 3.708 4.159 Re
1.221 0.705 12.477 Re
0.000 2.942 2.119 Re
0.000 2.942 6.199 Re
0.000 2.942 10.947 Re
0.000 2.942 14.007 Re
2.548 0.000 0.000 Re
2.548 0.000 8.318 Re
1.274 2.207 0.000 Re
1.274 2.207 8.318 Re
2.548 1.471 2.629 Re
2.548 1.471 5.689 Re
2.548 1.471 10.437 Re
2.548 1.471 14.517 Re
1.327 3.708 4.159 Re
3.875 0.705 12.477 Re
2.548 3.003 12.477 Re
0.000 0.000 1.539 W
0.000 0.000 6.779 W
0.000 0.000 9.857 W
0.000 0.000 15.097 W
```

Top 10 peaks for 15° ≤ 2θ ≤ 90°, by angle:
2theta  Rel. int.
35.22  28
38.34  58
41.56  100
42.38  69
43.52  19
44.17  23
65.27  22
67.54  29
70.95  25
74.47  29

7.
Structure and computed powder diffractogram of Re17W12 (a PBE-relaxed structure; Cu Kα).

Structural model:
```
Re17W12
1.0
-4.848 4.848 4.848
4.848 -4.848 4.848
4.848 4.848 -4.848
Re W
17 12
Cartesian
0.000 0.000 0.000 Re
3.144 3.144 -3.144 Re
2.737 0.882 -0.882 Re
2.737 -0.882 0.882 Re
3.144 -3.144 3.144 Re
6.959 0.882 0.882 Re
0.882 2.737 -0.882 Re
0.882 -0.882 2.737 Re
1.704 1.704 1.704 Re
-0.882 2.737 0.882 Re
-0.882 0.882 2.737 Re
3.966 3.966 2.111 Re
3.966 2.111 3.966 Re
-3.144 3.144 3.144 Re
0.882 6.959 0.882 Re
0.882 0.882 6.959 Re
2.111 3.966 3.966 Re
5.282 1.374 -1.374 W
5.282 -1.374 1.374 W
4.414 1.374 1.374 W
3.474 3.474 -0.434 W
3.474 -0.434 3.474 W
1.374 5.282 -1.374 W
1.374 -1.374 5.282 W
1.374 4.414 1.374 W
1.374 1.374 4.414 W
-1.374 5.282 1.374 W
-1.374 1.374 5.282 W
-0.434 3.474 3.474 W
```

Top 10 peaks for 15° ≤ 2θ ≤ 90°, by angle:
2theta  Rel. int.
37.09  8
39.43  100
43.79  29
45.85  10
47.83  17
66.85  5
68.42  9
71.50  26
73.02  6
84.85  9

8.
Structure and computed powder diffractogram of Re6W7 (a PBE-relaxed structure; Cu Kα).

Structural model:
```
Re6W7
1.0
2.561 1.478 9.170
-2.561 1.478 9.170
0.000 -2.957 9.170
Re W
6 7
Cartesian
0.000 -1.462 6.995 Re
-1.267 0.731 6.995 Re
-1.267 -0.731 20.516 Re
1.267 0.731 6.995 Re
1.267 -0.731 20.516 Re
0.000 1.462 20.516 Re
0.000 0.000 0.000 W
0.000 0.000 4.592 W
0.000 0.000 9.562 W
0.000 0.000 12.438 W
0.000 0.000 15.073 W
0.000 0.000 17.949 W
0.000 0.000 22.919 W
```

Top 10 peaks for 15° ≤ 2θ ≤ 90°, by angle:
2theta  Rel. int.
35.04  46
38.51  43
39.30  29
40.34  100
40.82  48
41.45  56
44.02  54
47.05  28
67.23  27
74.04  37

9.
Structure and computed powder diffractogram of Re3W10 (a PBE-relaxed structure; Cu Kα).

Structural model:
```
Re3W10
1.0
2.587 1.493 9.190
-2.587 1.493 9.190
0.000 -2.987 9.190
Re W
3 10
Cartesian
0.000 0.000 0.000 Re
0.000 0.000 4.593 Re
0.000 0.000 22.978 Re
0.000 -1.483 7.017 W
-1.284 0.741 7.017 W
0.000 0.000 9.607 W
-1.284 -0.741 20.554 W
0.000 0.000 12.504 W
0.000 0.000 15.067 W
1.284 0.741 7.017 W
0.000 0.000 17.965 W
1.284 -0.741 20.554 W
0.000 1.483 20.554 W
```

Top 10 peaks for 15° ≤ 2θ ≤ 90°, by angle:
2theta  Rel. int.
34.68  47
38.33  41
39.21  26
40.00  100
40.40  46
41.27  55
43.61  52
46.64  25
66.65  27
73.17  37

10.
Structure and computed powder diffractogram of Re5W8 (a PBE-relaxed structure; Cu Kα).

Structural model:
```
Re5W8
1.0
2.567 1.482 9.218
-2.567 1.482 9.218
0.000 -2.965 9.218
Re W
5 8
Cartesian
0.000 0.000 0.000 Re
0.000 0.000 4.604 Re
0.000 0.000 12.579 Re
0.000 0.000 15.077 Re
0.000 0.000 23.051 Re
0.000 -1.474 7.017 W
-1.276 0.737 7.017 W
0.000 0.000 9.573 W
-1.276 -0.737 20.639 W
1.276 0.737 7.017 W
0.000 0.000 18.082 W
1.276 -0.737 20.639 W
0.000 1.474 20.639 W
```

Top 10 peaks for 15° ≤ 2θ ≤ 90°, by angle:
2theta  Rel. int.
34.95  44
38.33  38
39.09  27
40.21  100
40.71  43
41.25  49
43.89  45
46.89  25
66.97  24
73.82  34

11.
Structure and computed powder diffractogram of ReW4 (a PBE-relaxed structure; Cu Kα).

Structural model:
```
ReW4
1.0
9.727 0.000 0.000
0.000 9.727 0.000
0.000 0.000 5.129
Re W
6 24
Cartesian
0.000 0.000 0.000 Re
0.958 0.958 2.565 Re
3.906 5.822 0.000 Re
4.864 4.864 2.565 Re
5.822 3.906 0.000 Re
8.769 8.769 2.565 Re
0.362 3.563 2.565 W
0.633 2.525 0.000 W
1.300 5.226 0.000 W
1.793 7.934 1.286 W
1.793 7.934 3.843 W
2.339 5.497 2.565 W
2.525 0.633 0.000 W
3.070 3.070 1.279 W
3.070 3.070 3.851 W
3.563 0.362 2.565 W
4.230 7.389 2.565 W
4.502 8.427 0.000 W
5.226 1.300 0.000 W
5.497 2.339 2.565 W
6.164 9.365 2.565 W
6.657 6.657 1.279 W
6.657 6.657 3.851 W
7.202 9.094 0.000 W
7.389 4.230 2.565 W
7.934 1.793 1.286 W
7.934 1.793 3.843 W
8.427 4.502 0.000 W
9.094 7.202 0.000 W
9.365 6.164 2.565 W
```

Top 10 peaks for 15° ≤ 2θ ≤ 90°, by angle:
2theta  Rel. int.
34.99  22
38.14  88
39.30  37
39.73  36
40.85  68
42.16  100
43.22  51
66.91  20
67.68  25
68.46  23